No. 1
For Gd2AlSiI2, a PBE-relaxed structure gives the computed X-ray diffraction stick pattern in this record (Cu Kα (λ = 1.5418 Å)).
Kinematic intensities with the Lorentz-polarization factor, no thermal factor.

Main lines, sorted by position (10 to 80 degrees two-theta):
2θ (°), Rel. int.
14.67, 26
25.74, 63
28.80, 39
33.33, 100
43.38, 43
45.05, 12
45.16, 16
55.78, 23
64.34, 31
73.19, 20

Structural model:
Lattice parameters (Å, degrees): 4.1717 4.1717 12.0744 90.00 90.00 120.00
Space group P3m1 (No. 156)
One atom of each set of equivalent atoms:
Gd  0.0000  0.0000  0.0000 [1 per cell]
Gd  0.0000  0.0000  0.3347 [1 per cell]
Al  0.6667  0.3333  0.1799 [1 per cell]
Si  0.3333  0.6667  0.1525 [1 per cell]
I  0.3333  0.6667  0.5042 [1 per cell]
I  0.6667  0.3333  0.8308 [1 per cell]

No. 2
For NdZn2Cu2Pd, a PBE-relaxed structure gives the computed X-ray diffraction stick pattern in this record (Cu Kα (λ = 1.5418 Å)).
Kinematic intensities with the Lorentz-polarization factor, no thermal factor.

Main lines, sorted by position (10 to 80 degrees two-theta):
2θ (°), Rel. int.
29.10, 58
33.41, 16
38.30, 25
39.69, 33
39.99, 100
41.00, 31
43.48, 37
45.50, 17
60.32, 19
65.62, 22

Structural model:
Lattice parameters (Å, degrees): 5.1871 9.4003 4.1626 90.00 90.00 90.00
Space group Cmmm (No. 65)
One atom of each set of equivalent atoms:
Nd  0.0000  0.0000  0.0000 [2 per cell]
Zn  0.2500  0.2500  0.5000 [4 per cell]
Cu  0.0000  0.3220  0.0000 [4 per cell]
Pd  0.0000  0.5000  0.5000 [2 per cell]